The following is a simulated PXRD pattern of Ce5CoN8. It was derived from DFT lattice parameters and positions (PBE), using Cu Ka.

Structure:
Cell: 7.5474 7.5474 7.4198 Å, 90.00 90.00 90.00°
Space group I-4 (No. 82)
Inequivalent atoms, fractional coordinates:
Ce  0.0000  0.0000  0.0000
Ce  0.1805  0.7506  0.3772
Co  0.0000  0.5000  0.7500
N  0.0457  0.7437  0.6842
N  0.0634  0.7308  0.1089

Most intense lines, 2θ from 10° to 80°, sorted by position:
2θ = 23.58°, 3.774 Å, intensity 24
2θ = 29.06°, 3.072 Å, intensity 82
2θ = 29.32°, 3.046 Å, intensity 100
2θ = 33.59°, 2.668 Å, intensity 30
2θ = 37.74°, 2.384 Å, intensity 48
2θ = 38.30°, 2.350 Å, intensity 16
2θ = 45.17°, 2.007 Å, intensity 37
2θ = 55.17°, 1.665 Å, intensity 28
2θ = 57.70°, 1.598 Å, intensity 23
2θ = 62.81°, 1.479 Å, intensity 29